Simulated PXRD pattern
Compound: Th2W2N7
Radiation: copper Kα
Structure: a DFT-relaxed cell (PBE, Alexandria)
No peak broadening, texture or thermal motion is included.

Structural model:
Lattice parameters (Å, degrees): 6.1579 6.1579 5.2313 97.13 97.13 105.25
Element x y z (fractional)
Th1 0.1970 0.8030 0.0000
Th2 0.8030 0.1970 0.0000
W1 0.2693 0.2693 0.5917
W2 0.7307 0.7307 0.4083
N1 0.0965 0.0965 0.2737
N2 0.0993 0.4152 0.7884
N3 0.4152 0.0993 0.7884
N4 0.5000 0.5000 0.5000
N5 0.5848 0.9007 0.2116
N6 0.9007 0.5848 0.2116
N7 0.9035 0.9035 0.7263

The 10 most intense peaks (2θ from 10° to 90°), by angle:
d [Å]	Rel. int.
3.577	36
3.538	100
3.315	57
2.980	23
2.930	57
2.725	22
2.674	22
2.107	19
1.867	22
1.538	22